This entry pairs a crystal structure of DyBPIr6 with its calculated PXRD pattern. Radiation: Cu Ka. Structure: a DFT-relaxed cell (GGA-PBE, Alexandria).
Peak positions follow from Bragg's law for the DFT cell and can differ from measured ones.

Structural model:
a = 7.6743 Å, b = 7.6743 Å, c = 7.6743 Å
α = 132.82°, β = 112.99°, γ = 85.97°
Fractional positions:
Dy (0.4426, 0.1926, 0.2500)
Dy (0.5574, 0.8074, 0.7500)
B (0.0000, 0.5000, 0.5000)
B (0.5000, 0.5000, 0.0000)
P (0.0000, 0.0000, 0.5000)
P (0.0000, 0.5000, 0.0000)
Ir (0.1065, 0.3969, 0.2466)
Ir (0.1065, 0.8599, 0.7096)
Ir (0.1633, 0.9133, 0.2500)
Ir (0.3003, 0.5503, 0.7500)
Ir (0.3497, 0.1401, 0.7466)
Ir (0.3497, 0.6031, 0.2096)
Ir (0.6503, 0.3969, 0.7904)
Ir (0.6503, 0.8599, 0.2534)
Ir (0.6997, 0.4497, 0.2500)
Ir (0.8367, 0.0867, 0.7500)
Ir (0.8935, 0.1401, 0.2904)
Ir (0.8935, 0.6031, 0.7534)

Principal peaks in the range 10° ≤ 2θ ≤ 80°, by angle:
| two_theta | intensity |
| --- | --- |
| 31.88 | 26 |
| 35.17 | 15 |
| 36.12 | 100 |
| 36.77 | 32 |
| 38.47 | 30 |
| 42.69 | 32 |
| 43.69 | 19 |
| 48.04 | 15 |
| 48.94 | 35 |
| 73.84 | 16 |